Simulated PXRD pattern of YI2 for Cu Kα, from a structure optimized by DFT (GGA-PBE).
Kinematic intensities with the Lorentz-polarization factor, no thermal factor.

Crystal structure
a b c (Å): 4.1053 4.1053 33.3047
angles (deg): 90.00 90.00 119.99
Atoms (fractional coordinates):
Y (0.2411, 0.2429, 0.1235)
Y (0.2429, 0.2411, 0.8765)
Y (0.7571, 0.7589, 0.3765)
Y (0.7589, 0.7571, 0.6235)
I (0.0903, 0.4255, 0.4373)
I (0.0905, 0.4256, 0.3157)
I (0.4255, 0.0903, 0.5627)
I (0.4256, 0.0905, 0.6843)
I (0.5744, 0.9095, 0.1843)
I (0.5745, 0.9097, 0.0627)
I (0.9095, 0.5744, 0.8157)
I (0.9097, 0.5745, 0.9373)

Main lines, by intensity (10° ≤ 2θ ≤ 80°):
2theta  Rel. int.
25.6  100.0
10.6  81.7
44.2  75.9
31.4  67.3
35.0  61.5
29.8  57.0
33.1  50.0
37.0  44.2
25.2  43.7
21.3  39.9

---

Simulated PXRD pattern of Zr2I13 for Cu Kα, from a structure optimized by DFT (GGA-PBE).
Kinematic intensities with the Lorentz-polarization factor, no thermal factor.

Crystal structure
a b c (Å): 8.4470 8.7059 12.5352
angles (deg): 75.95 84.97 66.00
Atoms (fractional coordinates):
Zr (0.0558, 0.1734, 0.2195)
Zr (0.9442, 0.8266, 0.7805)
I (0.0180, 0.8966, 0.3573)
I (0.0736, 0.4263, 0.3041)
I (0.1778, 0.1419, 0.0135)
I (0.2976, 0.6496, 0.8406)
I (0.4434, 0.5460, 0.5993)
I (0.4513, 0.9775, 0.2774)
I (0.5000, 0.0000, 0.5000)
I (0.5487, 0.0225, 0.7226)
I (0.5566, 0.4540, 0.4007)
I (0.7024, 0.3504, 0.1594)
I (0.8222, 0.8581, 0.9865)
I (0.9264, 0.5737, 0.6959)
I (0.9820, 0.1034, 0.6427)

Main lines, by intensity (10° ≤ 2θ ≤ 80°):
2theta  Rel. int.
24.3  100.0
21.2  72.6
25.7  62.9
23.0  54.7
29.7  50.0
23.2  36.4
45.5  35.9
24.9  34.4
14.9  33.0
27.1  32.6

---

Simulated PXRD pattern of In7Ir3 for Cu Kα, from a structure optimized by DFT (GGA-PBE).
Kinematic intensities with the Lorentz-polarization factor, no thermal factor.

Crystal structure
a b c (Å): 8.2469 8.2469 8.2469
angles (deg): 109.47 109.47 109.47
Atoms (fractional coordinates):
In (0.0000, 0.0000, 0.3189)
In (0.0000, 0.0000, 0.6811)
In (0.0000, 0.3189, 0.0000)
In (0.0000, 0.6811, 0.0000)
In (0.2500, 0.5000, 0.7500)
In (0.2500, 0.7500, 0.5000)
In (0.3189, 0.0000, 0.0000)
In (0.3189, 0.3189, 0.3189)
In (0.5000, 0.2500, 0.7500)
In (0.5000, 0.7500, 0.2500)
In (0.6811, 0.0000, 0.0000)
In (0.6811, 0.6811, 0.6811)
In (0.7500, 0.2500, 0.5000)
In (0.7500, 0.5000, 0.2500)
Ir (0.0000, 0.3467, 0.3467)
Ir (0.0000, 0.6533, 0.6533)
Ir (0.3467, 0.0000, 0.3467)
Ir (0.3467, 0.3467, 0.0000)
Ir (0.6533, 0.0000, 0.6533)
Ir (0.6533, 0.6533, 0.0000)

Main lines, by intensity (10° ≤ 2θ ≤ 80°):
2theta  Rel. int.
40.2  100.0
73.0  32.5
22.9  28.9
32.6  27.8
35.3  21.3
58.1  19.2
46.7  17.8
63.3  13.7
18.6  12.9
59.9  7.8